For Te2MoSe2Br, a structure optimized by DFT (PBE) gives the calculated powder diffraction line list in this record (Cu Kα (λ = 1.5418 Å)).
Lines closer than 0.1° are merged.

Atomic structure:
```
data_Te2MoSe2Br
_symmetry_space_group_name_H-M 'P -1'
_symmetry_Int_Tables_number 2
_cell_length_a 6.6321
_cell_length_b 8.1793
_cell_length_c 8.4235
_cell_angle_alpha 118.94
_cell_angle_beta 105.33
_cell_angle_gamma 97.68
loop_
_symmetry_equiv_pos_as_xyz
'x,y,z'
'-x,-y,-z'
loop_
_atom_site_label
_atom_site_fract_x
_atom_site_fract_y
_atom_site_fract_z
Te1 0.0356 0.3507 0.1756
Te2 0.1345 0.8315 0.2372
Mo1 0.2256 0.5002 0.9990
Se1 0.3917 0.4088 0.7182
Se2 0.4640 0.2665 0.0099
Br1 0.2704 0.8665 0.6174
```

Top 10 peaks for 2θ from 15° to 90°, sorted by position:
- 2θ 25.74, intensity 609
- 2θ 27.21, intensity 1000
- 2θ 28.19, intensity 866
- 2θ 29.96, intensity 423
- 2θ 32.72, intensity 431
- 2θ 33.72, intensity 600
- 2θ 34.25, intensity 559
- 2θ 36.59, intensity 723
- 2θ 39.46, intensity 459
- 2θ 41.61, intensity 714